Starting from DFT lattice parameters and positions (GGA-PBE), the XRD peak list of Sm5Zr3N8 was calculated for a wavelength of 1.5418 Å.
Peak positions follow from Bragg's law for the DFT cell and can differ from measured ones.

Structural model:
```
data_Sm5Zr3N8
_chemical_formula_sum 'Sm15 Zr9 N24'
_cell_length_a 6.8749
_cell_length_b 6.8749
_cell_length_c 17.0264
_cell_angle_alpha 90.00
_cell_angle_beta 90.00
_cell_angle_gamma 120.00
_symmetry_space_group_name_H-M 'R -3 m'
_symmetry_Int_Tables_number 166
_symmetry_space_group_name_Hall '-R 3 2"'
loop_
_atom_site_label
_atom_site_type_symbol
_atom_site_fract_x
_atom_site_fract_y
_atom_site_fract_z
_atom_site_occupancy
Sm1 Sm 0.0000 0.0000 0.0000 1
Sm2 Sm 0.0000 0.0000 0.5000 1
Sm3 Sm 0.0000 0.5000 0.0000 1
Zr1 Zr 0.0000 0.5000 0.5000 1
N1 N 0.0000 0.0000 0.2413 1
N2 N 0.0141 0.5070 0.7571 1
```

Peak list (12 most intense, 5 to 70 degrees two-theta, in order of falling intensity)
Position (°2θ), I/Imax, hkl
36.84, 100.0, 0 2 4
31.85, 97.3, 2 0 2
52.88, 33.9, 2 0 8
31.53, 33.5, 0 0 6
53.30, 33.4, 2 2 0
63.26, 28.8, 2 2 6
66.55, 16.6, 4 0 4
62.88, 14.8, 0 2 10
63.44, 14.2, 0 4 2
65.82, 5.6, 0 0 12
30.47, 4.7, 0 2 1
15.61, 4.5, 0 0 3